[1]
Structure and theoretical powder XRD pattern of ZnS (a structure optimized by DFT (PBE); Cu Kα (weighted mean of Kα1 and Kα2)).
Kinematic intensities with the Lorentz-polarization factor, no thermal factor.

Main lines, in order of rising 2θ (2θ = 15–90°):
- d 3.354, 2θ = 26.6°, intensity 21, hkl 0 1 2
- d 3.267, 2θ = 27.3°, intensity 24, hkl 0 1 8
- d 3.219, 2θ = 27.7°, intensity 86, hkl 1 0 10
- d 3.141, 2θ = 28.4°, intensity 100, hkl 0 0 36
- d 3.033, 2θ = 29.4°, intensity 32, hkl 1 0 16
- d 2.998, 2θ = 29.8°, intensity 20, hkl 0 1 17
- d 1.984, 2θ = 45.7°, intensity 29, hkl 1 0 46
- d 1.939, 2θ = 46.9°, intensity 97, hkl 1 1 0
- d 1.826, 2θ = 49.9°, intensity 18, hkl 1 0 52
- d 1.650, 2θ = 55.7°, intensity 67, hkl 1 1 36

Cell and atoms:
a b c (Å): 3.8776 3.8776 113.1543
angles (deg): 90.00 90.00 120.00
Space group R3m (No. 160, hexagonal axes)
One atom of each set of equivalent atoms:
1 Zn 0.0000 0.0000 0.0000 (multiplicity 3)
2 Zn 0.0000 0.0000 0.0556 (multiplicity 3)
3 Zn 0.0000 0.0000 0.1111 (multiplicity 3)
4 Zn 0.0000 0.0000 0.1667 (multiplicity 3)
5 Zn 0.0000 0.0000 0.2222 (multiplicity 3)
6 Zn 0.0000 0.0000 0.3056 (multiplicity 3)
7 Zn 0.0000 0.0000 0.4167 (multiplicity 3)
8 Zn 0.0000 0.0000 0.5278 (multiplicity 3)
9 Zn 0.0000 0.0000 0.6111 (multiplicity 3)
10 Zn 0.0000 0.0000 0.6945 (multiplicity 3)
11 Zn 0.0000 0.0000 0.8056 (multiplicity 3)
12 Zn 0.0000 0.0000 0.9167 (multiplicity 3)
13 S 0.0000 0.0000 0.0348 (multiplicity 3)
14 S 0.0000 0.0000 0.0903 (multiplicity 3)
15 S 0.0000 0.0000 0.1459 (multiplicity 3)
16 S 0.0000 0.0000 0.2015 (multiplicity 3)
17 S 0.0000 0.0000 0.2848 (multiplicity 3)
18 S 0.0000 0.0000 0.3959 (multiplicity 3)
19 S 0.0000 0.0000 0.5070 (multiplicity 3)
20 S 0.0000 0.0000 0.5903 (multiplicity 3)
21 S 0.0000 0.0000 0.6737 (multiplicity 3)
22 S 0.0000 0.0000 0.7848 (multiplicity 3)
23 S 0.0000 0.0000 0.8959 (multiplicity 3)
24 S 0.0000 0.0000 0.9792 (multiplicity 3)

[2]
Structure and theoretical powder XRD pattern of ZnS (a structure optimized by DFT (PBE); Cu Kα (weighted mean of Kα1 and Kα2)).
Kinematic intensities with the Lorentz-polarization factor, no thermal factor.

Main lines, in order of rising 2θ (2θ = 15–90°):
- d 3.234, 2θ = 27.6°, intensity 20, hkl 0 1 14
- d 3.200, 2θ = 27.9°, intensity 25, hkl 1 0 16
- d 3.181, 2θ = 28.1°, intensity 14, hkl 0 1 17
- d 3.140, 2θ = 28.4°, intensity 100, hkl 0 0 54
- d 3.055, 2θ = 29.2°, intensity 13, hkl 0 1 23
- d 1.938, 2θ = 46.9°, intensity 66, hkl 1 1 0
- d 1.910, 2θ = 47.6°, intensity 20, hkl 1 0 73
- d 1.657, 2θ = 55.5°, intensity 13, hkl 0 1 89
- d 1.649, 2θ = 55.7°, intensity 50, hkl 1 1 54
- d 1.119, 2θ = 87.1°, intensity 10, hkl 3 0 0

Cell and atoms:
a b c (Å): 3.8756 3.8756 169.5143
angles (deg): 90.00 90.00 120.00
Space group R3m (No. 160, hexagonal axes)
One atom of each set of equivalent atoms:
1 Zn 0.0000 0.0000 0.0000 (multiplicity 3)
2 Zn 0.0000 0.0000 0.0370 (multiplicity 3)
3 Zn 0.0000 0.0000 0.0741 (multiplicity 3)
4 Zn 0.0000 0.0000 0.1481 (multiplicity 3)
5 Zn 0.0000 0.0000 0.2037 (multiplicity 3)
6 Zn 0.0000 0.0000 0.2593 (multiplicity 3)
7 Zn 0.0000 0.0000 0.2963 (multiplicity 3)
8 Zn 0.0000 0.0000 0.3519 (multiplicity 3)
9 Zn 0.0000 0.0000 0.4259 (multiplicity 3)
10 Zn 0.0000 0.0000 0.4630 (multiplicity 3)
11 Zn 0.0000 0.0000 0.5185 (multiplicity 3)
12 Zn 0.0000 0.0000 0.5741 (multiplicity 3)
13 Zn 0.0000 0.0000 0.6481 (multiplicity 3)
14 Zn 0.0000 0.0000 0.7222 (multiplicity 3)
15 Zn 0.0000 0.0000 0.7778 (multiplicity 3)
16 Zn 0.0000 0.0000 0.8333 (multiplicity 3)
17 Zn 0.0000 0.0000 0.8889 (multiplicity 3)
18 Zn 0.0000 0.0000 0.9444 (multiplicity 3)
19 S 0.0000 0.0000 0.0139 (multiplicity 3)
20 S 0.0000 0.0000 0.0509 (multiplicity 3)
21 S 0.0000 0.0000 0.0879 (multiplicity 3)
22 S 0.0000 0.0000 0.1620 (multiplicity 3)
23 S 0.0000 0.0000 0.2176 (multiplicity 3)
24 S 0.0000 0.0000 0.2731 (multiplicity 3)
25 S 0.0000 0.0000 0.3102 (multiplicity 3)
26 S 0.0000 0.0000 0.3657 (multiplicity 3)
27 S 0.0000 0.0000 0.4398 (multiplicity 3)
28 S 0.0000 0.0000 0.4768 (multiplicity 3)
29 S 0.0000 0.0000 0.5324 (multiplicity 3)
30 S 0.0000 0.0000 0.5879 (multiplicity 3)
31 S 0.0000 0.0000 0.6620 (multiplicity 3)
32 S 0.0000 0.0000 0.7361 (multiplicity 3)
33 S 0.0000 0.0000 0.7916 (multiplicity 3)
34 S 0.0000 0.0000 0.8472 (multiplicity 3)
35 S 0.0000 0.0000 0.9028 (multiplicity 3)
36 S 0.0000 0.0000 0.9583 (multiplicity 3)